Diffraction record for Li2FeCo3O8. The PXRD pattern is theoretical, not measured: it uses a PBE+U-relaxed structure and λ = 1.5418 Å (Cu Kα).
Neutral-atom scattering factors, no anomalous dispersion.

Principal peaks in the range 2θ = 10–80°, in order of falling intensity:
hkl 1 1 -1, 2θ 18.81, I 100
hkl 0 0 4, 2θ 44.28, I 35
hkl 1 3 1, 2θ 36.44, I 31
hkl 4 0 0, 2θ 44.48, I 17
hkl 3 1 1, 2θ 36.55, I 16
hkl 4 0 4, 2θ 64.44, I 15
hkl 4 4 0, 2θ 64.59, I 15
hkl 2 2 2, 2θ 38.16, I 13
hkl 1 5 -1, 2θ 58.70, I 8
hkl 1 1 -5, 2θ 58.58, I 6

Structure:
abc: 8.148 8.174 8.190
angles: 89.99 89.93 90.00
Element x y z (fractional)
Li 0.000 0.000 0.000
Li 0.000 0.498 0.500
Li 0.253 0.252 0.250
Li 0.255 0.754 0.751
Li 0.499 0.001 0.500
Li 0.499 0.500 0.000
Li 0.750 0.251 0.750
Li 0.751 0.754 0.250
Fe 0.129 0.376 0.874
Fe 0.377 0.627 0.376
Fe 0.625 0.121 0.125
Fe 0.872 0.879 0.625
Co 0.121 0.632 0.127
Co 0.126 0.882 0.370
Co 0.131 0.127 0.620
Co 0.371 0.877 0.121
Co 0.376 0.121 0.872
Co 0.382 0.371 0.625
Co 0.620 0.871 0.876
Co 0.626 0.621 0.629
Co 0.631 0.376 0.379
Co 0.870 0.627 0.880
Co 0.875 0.380 0.129
Co 0.881 0.132 0.375
O 0.104 0.625 0.894
O 0.107 0.397 0.123
O 0.116 0.116 0.388
O 0.125 0.895 0.602
O 0.126 0.647 0.356
O 0.134 0.864 0.140
O 0.142 0.128 0.854
O 0.145 0.357 0.627
O 0.349 0.642 0.127
O 0.357 0.872 0.358
O 0.364 0.137 0.639
O 0.372 0.354 0.860
O 0.378 0.112 0.102
O 0.387 0.890 0.889
O 0.394 0.607 0.622
O 0.401 0.379 0.391
O 0.605 0.879 0.110
O 0.607 0.106 0.877
O 0.617 0.389 0.611
O 0.626 0.607 0.395
O 0.627 0.850 0.640
O 0.639 0.636 0.862
O 0.645 0.145 0.372
O 0.645 0.374 0.145
O 0.858 0.627 0.647
O 0.859 0.856 0.870
O 0.863 0.366 0.361
O 0.874 0.151 0.141
O 0.877 0.395 0.896
O 0.887 0.614 0.113
O 0.895 0.897 0.378
O 0.899 0.123 0.609